[1]
For TmOF, a crystal structure in the Materials Project, relaxed with GGA-PBE gives the calculated PXRD pattern in this record (Cu Kα X-rays).

Main lines, by angle (5 to 70 degrees two-theta):
d (Å), Rel. int., h k l
5.451, 24, 1 0 0
3.863, 19, 0 1 1
3.353, 100, 1 1 -1
2.983, 91, 1 1 1
2.732, 54, 0 0 2
2.726, 14, 2 0 0
2.369, 36, 2 1 -1
1.931, 47, 0 2 2
1.896, 21, 1 2 -2
1.623, 16, 1 3 1
1.581, 14, 2 1 -3
1.572, 21, 1 1 3

Cell lengths 5.5361, 5.4696, 5.5424 Å; angles 90.00, 100.04, 90.00 degrees
Sites, in units of the cell vectors:
Tm  0.1949  0.0261  0.2873
Tm  0.1949  0.4739  0.7873
Tm  0.8051  0.5261  0.2127
Tm  0.8051  0.9739  0.7127
O  0.0386  0.7464  0.5100
O  0.0386  0.7536  0.0100
O  0.9614  0.2464  0.9900
O  0.9614  0.2536  0.4900
F  0.4418  0.1741  0.6551
F  0.4418  0.3259  0.1551
F  0.5582  0.6741  0.8449
F  0.5582  0.8259  0.3449

***

[2]
For Sc2Cu2O5, a crystal structure in the Materials Project, relaxed with GGA-PBE gives the calculated PXRD pattern in this record (Cu Kα X-rays).

Main lines, by angle (5 to 70 degrees two-theta):
d (Å), Rel. int., h k l
6.063, 48, 0 0 2
3.138, 38, 0 1 1
2.765, 33, 2 1 0
2.697, 87, 2 1 1
2.639, 37, 4 0 0
2.629, 100, 2 0 4
2.532, 25, 0 1 3
2.020, 24, 4 1 1
1.941, 29, 4 1 2
1.887, 27, 2 0 6
1.827, 40, 4 1 3
1.468, 25, 2 1 7

Cell lengths 10.5546, 3.2488, 12.1258 Å; angles 90.00, 90.00, 90.00 degrees
Sites, in units of the cell vectors:
Sc  0.0396  0.2208  0.0000
Sc  0.2106  0.2199  0.3298
Sc  0.2894  0.7199  0.8298
Sc  0.4604  0.7208  0.5000
Sc  0.5396  0.2792  0.0000
Sc  0.7106  0.2801  0.3298
Sc  0.7894  0.7801  0.8298
Sc  0.9604  0.7792  0.5000
Cu  0.0096  0.3417  0.7209
Cu  0.2397  0.1500  0.6091
Cu  0.2603  0.6500  0.1091
Cu  0.4904  0.8417  0.2209
Cu  0.5096  0.1583  0.7209
Cu  0.7397  0.3500  0.6091
Cu  0.7603  0.8500  0.1091
Cu  0.9904  0.6583  0.2209
O  0.0672  0.2799  0.5653
O  0.0810  0.7287  0.3639
O  0.1246  0.2959  0.1651
O  0.1692  0.7179  0.9664
O  0.1823  0.2145  0.7652
O  0.3177  0.7145  0.2652
O  0.3308  0.2179  0.4664
O  0.3754  0.7959  0.6651
O  0.4190  0.2287  0.8639
O  0.4328  0.7799  0.0653
O  0.5672  0.2201  0.5653
O  0.5810  0.7713  0.3639
O  0.6246  0.2041  0.1651
O  0.6692  0.7821  0.9664
O  0.6823  0.2855  0.7652
O  0.8177  0.7855  0.2652
O  0.8308  0.2821  0.4664
O  0.8754  0.7041  0.6651
O  0.9190  0.2713  0.8639
O  0.9328  0.7201  0.0653

***

[3]
For Mg14AlCd, a crystal structure in the Materials Project, relaxed with GGA-PBE gives the calculated PXRD pattern in this record (Cu Kα X-rays).

Main lines, by angle (5 to 70 degrees two-theta):
d (Å), Rel. int., h k l
10.397, 20, 0 0 1
5.439, 17, 1 0 0
4.819, 23, 1 0 1
3.758, 14, 1 0 2
3.006, 7, 1 1 1
2.923, 7, 1 0 3
2.719, 26, 2 0 0
2.599, 27, 0 0 4
2.410, 100, 2 0 2
1.879, 17, 2 0 4
1.570, 17, 2 2 0
1.461, 21, 2 0 6

Cell lengths 6.2803, 6.2803, 10.3966 Å; angles 90.00, 90.00, 120.00 degrees
Sites, in units of the cell vectors:
Mg  0.0000  0.0000  0.2502
Mg  0.0000  0.0000  0.7498
Mg  0.0021  0.5011  0.2493
Mg  0.0021  0.5011  0.7507
Mg  0.3329  0.1665  0.5000
Mg  0.3331  0.1666  0.0000
Mg  0.4989  0.5011  0.2493
Mg  0.4989  0.5011  0.7507
Mg  0.4989  0.9979  0.2493
Mg  0.4989  0.9979  0.7507
Mg  0.8334  0.1666  0.0000
Mg  0.8334  0.6669  0.0000
Mg  0.8335  0.1665  0.5000
Mg  0.8335  0.6671  0.5000
Al  0.3333  0.6667  0.0000
Cd  0.3333  0.6667  0.5000

***

[4]
For GdHoIr2, a crystal structure in the Materials Project, relaxed with GGA-PBE gives the calculated PXRD pattern in this record (Cu Kα X-rays).

Main lines, by angle (5 to 70 degrees two-theta):
d (Å), Rel. int., h k l
3.438, 1, 2 0 0
2.431, 100, 2 2 0
1.719, 18, 4 0 0
1.403, 36, 4 2 2

Cell lengths 6.8754, 6.8754, 6.8754 Å; angles 90.00, 90.00, 90.00 degrees
Sites, in units of the cell vectors:
Gd  0.0000  0.0000  0.0000
Gd  0.0000  0.5000  0.5000
Gd  0.5000  0.0000  0.5000
Gd  0.5000  0.5000  0.0000
Ho  0.0000  0.0000  0.5000
Ho  0.0000  0.5000  0.0000
Ho  0.5000  0.0000  0.0000
Ho  0.5000  0.5000  0.5000
Ir  0.2500  0.2500  0.2500
Ir  0.2500  0.2500  0.7500
Ir  0.2500  0.7500  0.2500
Ir  0.2500  0.7500  0.7500
Ir  0.7500  0.2500  0.2500
Ir  0.7500  0.2500  0.7500
Ir  0.7500  0.7500  0.2500
Ir  0.7500  0.7500  0.7500

***

[5]
For Zn2SiH2O5, a crystal structure in the Materials Project, relaxed with GGA-PBE gives the calculated PXRD pattern in this record (Cu Kα X-rays).

Main lines, by angle (5 to 70 degrees two-theta):
d (Å), Rel. int., h k l
6.606, 52, 1 1 0
5.366, 43, 0 2 0
4.679, 40, 0 1 1
4.191, 26, 2 0 0
3.290, 57, 1 3 0
3.122, 100, 2 1 1
2.947, 44, 0 3 1
2.787, 19, 2 2 1
2.599, 53, 0 0 2
2.461, 16, 3 0 1
2.411, 41, 2 3 1
1.473, 17, 0 6 2

Cell lengths 8.3830, 10.7319, 5.1986 Å; angles 90.00, 90.00, 90.00 degrees
Sites, in units of the cell vectors:
Zn  0.1690  0.1731  0.0000
Zn  0.2386  0.8534  0.0082
Zn  0.2614  0.3534  0.5082
Zn  0.3310  0.6731  0.5000
Zn  0.6690  0.3269  0.5000
Zn  0.7386  0.6466  0.5082
Zn  0.7614  0.1466  0.0082
Zn  0.8310  0.8269  0.0000
Si  0.0308  0.8538  0.5140
Si  0.4692  0.3538  0.0140
Si  0.5308  0.6462  0.0140
Si  0.9692  0.1462  0.5140
H  0.0458  0.4378  0.0904
H  0.1267  0.5372  0.6787
H  0.3733  0.0372  0.1787
H  0.4542  0.9378  0.5904
H  0.5458  0.0622  0.5904
H  0.6267  0.9628  0.1787
H  0.8733  0.4628  0.6787
H  0.9542  0.5622  0.0904
O  0.0000  0.0000  0.5964
O  0.0000  0.5000  0.9746
O  0.0333  0.8326  0.2016
O  0.1145  0.2266  0.6462
O  0.1952  0.5273  0.5273
O  0.2044  0.8151  0.6390
O  0.2956  0.3151  0.1390
O  0.3048  0.0273  0.0273
O  0.3855  0.7266  0.1462
O  0.4667  0.3326  0.7016
O  0.5000  0.0000  0.4746
O  0.5000  0.5000  0.0964
O  0.5333  0.6674  0.7016
O  0.6145  0.2734  0.1462
O  0.6952  0.9727  0.0273
O  0.7044  0.6849  0.1390
O  0.7956  0.1849  0.6390
O  0.8048  0.4727  0.5273
O  0.8855  0.7734  0.6462
O  0.9667  0.1674  0.2016